Computed powder XRD pattern
Compound: In2Sn4Hg5
Radiation: a wavelength of 1.5418 Å
Structure: a structure optimized by DFT (GGA-PBE)
Lines closer than 0.1° are merged.

Largest 8 diffraction maxima, low angle first, 2θ = 10–80°:
Position (°2θ)  I/Imax
25.09  22
28.12  21
31.70  29
32.85  79
33.37  100
33.66  60
48.09  22
68.84  34

Structural model:
Cell lengths 11.022, 11.022, 11.022 Å; angles 163.56, 122.22, 60.51 degrees
Positions (direct):
1 In 0.248 0.248 0.000
2 In 0.752 0.752 0.000
3 Sn 0.269 0.000 0.269
4 Sn 0.411 0.411 0.000
5 Sn 0.589 0.589 0.000
6 Sn 0.731 0.000 0.731
7 Hg 0.000 0.500 0.500
8 Hg 0.070 0.836 0.234
9 Hg 0.398 0.164 0.234
10 Hg 0.602 0.836 0.766
11 Hg 0.930 0.164 0.766